1.
This entry pairs a crystal structure of La2Pr7Y3 with its computed X-ray powder pattern. Radiation: Cu Kα X-rays. Structure: the PBE geometry in Alexandria.
Intensities are scaled so that the largest is 100.

```
data_La2Pr7Y3
_cell_length_a 6.036
_cell_length_b 3.685
_cell_length_c 19.334
_cell_angle_alpha 90.00
_cell_angle_beta 93.70
_cell_angle_gamma 90.00
_space_group_name_H-M_alt 'P 1'
_space_group_IT_number 1
loop_
_space_group_symop_operation_xyz
'x,y,z'
loop_
_atom_site_label
_atom_site_fract_x
_atom_site_fract_y
_atom_site_fract_z
_atom_site_occupancy
La1 0.206 0.000 0.298 1
La2 0.794 0.000 0.702 1
Pr1 0.180 0.500 0.144 1
Pr2 0.242 0.000 0.465 1
Pr3 0.319 0.000 0.822 1
Pr4 0.500 0.500 0.000 1
Pr5 0.681 0.000 0.178 1
Pr6 0.758 0.000 0.535 1
Pr7 0.820 0.500 0.856 1
Y1 0.000 0.000 0.000 1
Y2 0.281 0.500 0.631 1
Y3 0.719 0.500 0.369 1
```

Main lines, most intense first (2θ from 5° to 70°):
2.960 Å, rel. 100.0; 3.015 Å, rel. 53.4; 3.005 Å, rel. 41.5; 2.916 Å, rel. 39.2; 2.761 Å, rel. 36.3; 2.929 Å, rel. 34.8; 2.675 Å, rel. 33.6; 3.216 Å, rel. 32.2; 1.571 Å, rel. 26.0; 2.862 Å, rel. 24.1; 2.480 Å, rel. 23.8; 1.843 Å, rel. 22.0

---

2.
This entry pairs a crystal structure of SbRu5 with its computed X-ray powder pattern. Radiation: Cu Kα X-rays. Structure: the PBE geometry in Alexandria.
Intensities are scaled so that the largest is 100.

```
data_SbRu5
_cell_length_a 2.846
_cell_length_b 2.846
_cell_length_c 11.159
_cell_angle_alpha 90.00
_cell_angle_beta 90.00
_cell_angle_gamma 90.00
_space_group_name_H-M_alt 'P 1'
_space_group_IT_number 1
loop_
_space_group_symop_operation_xyz
'x,y,z'
loop_
_atom_site_label
_atom_site_fract_x
_atom_site_fract_y
_atom_site_fract_z
_atom_site_occupancy
Sb1 0.000 0.000 0.000 1
Ru1 0.000 0.000 0.335 1
Ru2 0.000 0.000 0.665 1
Ru3 0.500 0.500 0.176 1
Ru4 0.500 0.500 0.500 1
Ru5 0.500 0.500 0.824 1
```

Main lines, most intense first (2θ from 5° to 70°):
2.260 Å, rel. 100.0; 2.012 Å, rel. 35.5; 1.366 Å, rel. 18.8; 1.860 Å, rel. 13.3; 1.423 Å, rel. 11.3; 2.535 Å, rel. 0.6

---

3.
This entry pairs a crystal structure of BaGa6Au12 with its computed X-ray powder pattern. Radiation: Cu Kα X-rays. Structure: the PBE geometry in Alexandria.
Intensities are scaled so that the largest is 100.

```
data_BaGa6Au12
_cell_length_a 7.545
_cell_length_b 7.545
_cell_length_c 7.545
_cell_angle_alpha 104.22
_cell_angle_beta 104.22
_cell_angle_gamma 104.22
_space_group_name_H-M_alt 'P 1'
_space_group_IT_number 1
loop_
_space_group_symop_operation_xyz
'x,y,z'
loop_
_atom_site_label
_atom_site_fract_x
_atom_site_fract_y
_atom_site_fract_z
_atom_site_occupancy
Ba1 0.000 0.000 0.000 1
Ga1 0.272 0.272 0.692 1
Ga2 0.272 0.692 0.272 1
Ga3 0.308 0.728 0.728 1
Ga4 0.692 0.272 0.272 1
Ga5 0.728 0.308 0.728 1
Ga6 0.728 0.728 0.308 1
Au1 0.118 0.500 0.882 1
Au2 0.118 0.882 0.500 1
Au3 0.143 0.396 0.396 1
Au4 0.396 0.143 0.396 1
Au5 0.396 0.396 0.143 1
Au6 0.500 0.118 0.882 1
Au7 0.500 0.882 0.118 1
Au8 0.604 0.604 0.857 1
Au9 0.604 0.857 0.604 1
Au10 0.857 0.604 0.604 1
Au11 0.882 0.118 0.500 1
Au12 0.882 0.500 0.118 1
```

Main lines, most intense first (2θ from 5° to 70°):
2.735 Å, rel. 100.0; 2.755 Å, rel. 56.2; 2.305 Å, rel. 54.8; 1.886 Å, rel. 46.2; 2.293 Å, rel. 34.2; 4.247 Å, rel. 25.6; 2.124 Å, rel. 23.3; 1.562 Å, rel. 18.7; 2.110 Å, rel. 15.2; 1.545 Å, rel. 14.2; 1.455 Å, rel. 13.9; 2.251 Å, rel. 13.4

---

4.
This entry pairs a crystal structure of TbNdTm3 with its computed X-ray powder pattern. Radiation: Cu Kα X-rays. Structure: the PBE geometry in Alexandria.
Intensities are scaled so that the largest is 100.

```
data_TbNdTm3
_cell_length_a 6.257
_cell_length_b 5.622
_cell_length_c 9.559
_cell_angle_alpha 90.00
_cell_angle_beta 109.06
_cell_angle_gamma 90.00
_space_group_name_H-M_alt 'P 1'
_space_group_IT_number 1
loop_
_space_group_symop_operation_xyz
'x,y,z'
loop_
_atom_site_label
_atom_site_fract_x
_atom_site_fract_y
_atom_site_fract_z
_atom_site_occupancy
Tb1 0.034 0.250 0.400 1
Tb2 0.966 0.750 0.600 1
Nd1 0.432 0.250 0.200 1
Nd2 0.568 0.750 0.800 1
Tm1 0.164 0.750 0.000 1
Tm2 0.232 0.250 0.800 1
Tm3 0.365 0.750 0.401 1
Tm4 0.635 0.250 0.599 1
Tm5 0.768 0.750 0.200 1
Tm6 0.836 0.250 0.000 1
```

Main lines, most intense first (2θ from 5° to 70°):
2.734 Å, rel. 100.0; 2.811 Å, rel. 24.0; 3.129 Å, rel. 23.9; 1.520 Å, rel. 22.6; 1.608 Å, rel. 20.4; 1.507 Å, rel. 16.5; 1.807 Å, rel. 13.2; 2.091 Å, rel. 10.3; 1.806 Å, rel. 6.6; 2.092 Å, rel. 5.3; 1.367 Å, rel. 4.0; 1.565 Å, rel. 3.1

---

5.
This entry pairs a crystal structure of Pr2NdAg2Hg2 with its computed X-ray powder pattern. Radiation: Cu Kα X-rays. Structure: the PBE geometry in Alexandria.
Intensities are scaled so that the largest is 100.

```
data_Pr2NdAg2Hg2
_cell_length_a 9.502
_cell_length_b 9.502
_cell_length_c 9.502
_cell_angle_alpha 30.11
_cell_angle_beta 30.11
_cell_angle_gamma 30.11
_space_group_name_H-M_alt 'P 1'
_space_group_IT_number 1
loop_
_space_group_symop_operation_xyz
'x,y,z'
loop_
_atom_site_label
_atom_site_fract_x
_atom_site_fract_y
_atom_site_fract_z
_atom_site_occupancy
Pr1 0.124 0.124 0.124 1
Pr2 0.876 0.876 0.876 1
Nd1 0.000 0.000 0.000 1
Ag1 0.397 0.397 0.397 1
Ag2 0.603 0.603 0.603 1
Hg1 0.263 0.263 0.263 1
Hg2 0.737 0.737 0.737 1
```

Main lines, most intense first (2θ from 5° to 70°):
2.468 Å, rel. 100.0; 2.661 Å, rel. 79.9; 1.460 Å, rel. 53.9; 2.875 Å, rel. 47.0; 1.810 Å, rel. 35.4; 4.532 Å, rel. 21.1; 2.168 Å, rel. 18.9; 1.425 Å, rel. 17.8; 1.873 Å, rel. 13.7; 1.492 Å, rel. 13.0; 9.064 Å, rel. 10.7; 4.078 Å, rel. 10.6

---

6.
This entry pairs a crystal structure of Tb6Er3Tl with its computed X-ray powder pattern. Radiation: Cu Kα X-rays. Structure: the PBE geometry in Alexandria.
Intensities are scaled so that the largest is 100.

```
data_Tb6Er3Tl
_cell_length_a 12.684
_cell_length_b 3.496
_cell_length_c 14.220
_cell_angle_alpha 90.00
_cell_angle_beta 100.45
_cell_angle_gamma 90.00
_space_group_name_H-M_alt 'P 1'
_space_group_IT_number 1
loop_
_space_group_symop_operation_xyz
'x,y,z'
loop_
_atom_site_label
_atom_site_fract_x
_atom_site_fract_y
_atom_site_fract_z
_atom_site_occupancy
Tb1 0.012 0.250 0.309 1
Tb2 0.157 0.250 0.883 1
Tb3 0.253 0.750 0.306 1
Tb4 0.271 0.750 0.714 1
Tb5 0.308 0.750 0.073 1
Tb6 0.385 0.250 0.533 1
Tb7 0.615 0.750 0.467 1
Tb8 0.692 0.250 0.927 1
Tb9 0.729 0.250 0.286 1
Tb10 0.747 0.250 0.694 1
Tb11 0.843 0.750 0.117 1
Tb12 0.988 0.750 0.691 1
Er1 0.078 0.250 0.096 1
Er2 0.129 0.750 0.501 1
Er3 0.426 0.250 0.897 1
Er4 0.574 0.750 0.103 1
Er5 0.871 0.250 0.499 1
Er6 0.922 0.750 0.904 1
Tl1 0.468 0.250 0.275 1
Tl2 0.532 0.750 0.725 1
```

Main lines, most intense first (2θ from 5° to 70°):
2.796 Å, rel. 100.0; 2.675 Å, rel. 77.3; 2.841 Å, rel. 61.3; 2.926 Å, rel. 48.9; 2.406 Å, rel. 28.3; 1.830 Å, rel. 19.2; 1.489 Å, rel. 18.9; 1.748 Å, rel. 16.8; 1.583 Å, rel. 15.8; 1.482 Å, rel. 15.0; 1.463 Å, rel. 13.5; 1.658 Å, rel. 12.1

---

Please write out number 2 again, unchanged.
This entry pairs a crystal structure of SbRu5 with its computed X-ray powder pattern. Radiation: Cu Kα X-rays. Structure: the PBE geometry in Alexandria.
Intensities are scaled so that the largest is 100.

```
data_SbRu5
_cell_length_a 2.846
_cell_length_b 2.846
_cell_length_c 11.159
_cell_angle_alpha 90.00
_cell_angle_beta 90.00
_cell_angle_gamma 90.00
_space_group_name_H-M_alt 'P 1'
_space_group_IT_number 1
loop_
_space_group_symop_operation_xyz
'x,y,z'
loop_
_atom_site_label
_atom_site_fract_x
_atom_site_fract_y
_atom_site_fract_z
_atom_site_occupancy
Sb1 0.000 0.000 0.000 1
Ru1 0.000 0.000 0.335 1
Ru2 0.000 0.000 0.665 1
Ru3 0.500 0.500 0.176 1
Ru4 0.500 0.500 0.500 1
Ru5 0.500 0.500 0.824 1
```

Main lines, most intense first (2θ from 5° to 70°):
2.260 Å, rel. 100.0; 2.012 Å, rel. 35.5; 1.366 Å, rel. 18.8; 1.860 Å, rel. 13.3; 1.423 Å, rel. 11.3; 2.535 Å, rel. 0.6